Record 1
# MgAlSn
Simulated powder diffractogram, Cu Kα X-rays. Input: a PBE-relaxed structure.
Kinematic intensities with the Lorentz-polarization factor, no thermal factor.

Cell and atoms:
```
MgAlSn
1.0
4.480 -3.425 0.000
4.480 3.425 0.000
-3.217 0.000 4.397
Mg Al Sn
2 2 2
Cartesian
0.085 0.000 1.806 Mg
5.657 0.000 2.591 Mg
2.871 -1.007 2.198 Al
4.480 -1.019 0.000 Al
2.748 1.367 0.386 Sn
2.995 1.367 4.010 Sn
```

Peak list (12 most intense, 10 to 90 degrees two-theta, low angle first)
- 2θ = 17.8°, I = 57.0
- 2θ = 20.2°, I = 73.2
- 2θ = 20.6°, I = 70.5
- 2θ = 26.0°, I = 51.3
- 2θ = 32.2°, I = 100.0
- 2θ = 32.8°, I = 96.8
- 2θ = 32.9°, I = 49.0
- 2θ = 33.2°, I = 99.1
- 2θ = 33.4°, I = 94.7
- 2θ = 39.6°, I = 76.8
- 2θ = 41.5°, I = 38.0
- 2θ = 42.4°, I = 47.0


Record 2
# MgAlSn
Simulated powder diffractogram, Cu Kα X-rays. Input: a PBE-relaxed structure.
Kinematic intensities with the Lorentz-polarization factor, no thermal factor.

Cell and atoms:
```
MgAlSn
1.0
5.057 0.000 0.000
1.058 5.462 0.000
1.998 2.100 4.810
Mg Al Sn
2 2 2
Cartesian
0.000 0.000 0.000 Mg
1.084 2.473 1.712 Mg
2.062 5.209 3.047 Al
4.625 6.426 2.450 Al
4.490 3.571 3.990 Sn
3.624 3.941 0.811 Sn
```

Peak list (12 most intense, 10 to 90 degrees two-theta, low angle first)
- 2θ = 17.7°, I = 17.2
- 2θ = 18.8°, I = 64.5
- 2θ = 30.5°, I = 21.4
- 2θ = 32.7°, I = 17.3
- 2θ = 33.1°, I = 17.1
- 2θ = 33.2°, I = 53.2
- 2θ = 34.3°, I = 100.0
- 2θ = 38.1°, I = 37.4
- 2θ = 38.7°, I = 35.4
- 2θ = 41.4°, I = 29.6
- 2θ = 41.9°, I = 28.4
- 2θ = 54.5°, I = 14.7


Record 3
# Sr4Mg3Al5
Simulated powder diffractogram, Cu Kα X-rays. Input: a PBE-relaxed structure.
Kinematic intensities with the Lorentz-polarization factor, no thermal factor.

Cell and atoms:
```
Sr4Mg3Al5
1.0
6.069 0.000 0.000
-3.035 5.256 0.000
0.000 0.000 19.849
Sr Mg Al
8 6 10
Cartesian
0.000 0.000 2.032 Sr
0.000 0.000 7.892 Sr
0.000 0.000 11.957 Sr
0.000 0.000 17.816 Sr
0.000 3.504 3.201 Sr
0.000 3.504 6.724 Sr
3.035 1.752 13.125 Sr
3.035 1.752 16.648 Sr
-1.517 2.628 0.000 Mg
-1.517 2.628 9.924 Mg
3.035 0.000 0.000 Mg
3.035 0.000 9.924 Mg
1.517 2.628 0.000 Mg
1.517 2.628 9.924 Mg
0.000 1.693 14.887 Al
-1.569 4.410 14.887 Al
1.466 0.846 4.962 Al
0.000 3.504 12.751 Al
0.000 3.504 17.022 Al
3.035 1.752 2.827 Al
3.035 1.752 7.097 Al
1.569 4.410 14.887 Al
4.603 0.846 4.962 Al
3.035 3.563 4.962 Al
```

Peak list (12 most intense, 10 to 90 degrees two-theta, low angle first)
- 2θ = 17.5°, I = 19.8
- 2θ = 28.2°, I = 19.1
- 2θ = 29.4°, I = 75.7
- 2θ = 32.0°, I = 75.2
- 2θ = 34.4°, I = 21.1
- 2θ = 34.6°, I = 100.0
- 2θ = 35.3°, I = 33.1
- 2θ = 53.8°, I = 31.0
- 2θ = 55.6°, I = 28.5
- 2θ = 58.3°, I = 24.7
- 2θ = 61.1°, I = 23.2
- 2θ = 87.2°, I = 19.9


Record 4
# SrMg11Al
Simulated powder diffractogram, Cu Kα X-rays. Input: a PBE-relaxed structure.
Kinematic intensities with the Lorentz-polarization factor, no thermal factor.

Cell and atoms:
```
SrMg11Al
1.0
2.966 -7.310 0.000
2.966 7.310 0.000
-2.850 0.000 7.303
Sr Mg Al
1 11 1
Cartesian
0.000 0.000 0.000 Sr
-1.425 0.000 3.651 Mg
1.483 3.655 0.000 Mg
0.044 2.555 2.620 Mg
0.121 1.566 5.685 Mg
0.044 -2.555 2.620 Mg
2.962 1.566 1.618 Mg
1.483 -3.655 0.000 Mg
0.121 -1.566 5.685 Mg
3.039 2.555 4.682 Mg
2.962 -1.566 1.618 Mg
3.039 -2.555 4.682 Mg
1.541 0.000 3.651 Al
```

Peak list (12 most intense, 10 to 90 degrees two-theta, low angle first)
- 2θ = 12.1°, I = 11.5
- 2θ = 24.2°, I = 7.9
- 2θ = 24.4°, I = 13.1
- 2θ = 27.3°, I = 12.9
- 2θ = 29.8°, I = 19.7
- 2θ = 30.1°, I = 30.4
- 2θ = 34.6°, I = 19.1
- 2θ = 34.7°, I = 100.0
- 2θ = 35.0°, I = 43.2
- 2θ = 62.0°, I = 11.7
- 2θ = 62.6°, I = 9.8
- 2θ = 73.3°, I = 12.0


Record 5
# SrMg9Al2
Simulated powder diffractogram, Cu Kα X-rays. Input: a PBE-relaxed structure.
Kinematic intensities with the Lorentz-polarization factor, no thermal factor.

Cell and atoms:
```
SrMg9Al2
1.0
-6.102 6.102 3.884
6.102 -6.102 3.884
6.102 6.102 -3.884
Sr Mg Al
2 18 4
Cartesian
6.102 3.051 0.971 Sr
0.000 3.051 2.913 Sr
6.102 -3.051 2.913 Mg
4.602 -0.605 1.428 Mg
7.602 -0.605 1.428 Mg
2.446 1.551 0.513 Mg
9.758 1.551 0.513 Mg
4.602 5.497 -1.428 Mg
1.500 -0.605 2.455 Mg
2.446 4.551 0.513 Mg
3.656 -1.551 4.397 Mg
2.446 7.653 -0.513 Mg
3.656 1.551 3.370 Mg
4.602 6.707 1.428 Mg
1.500 0.605 5.312 Mg
-3.656 4.551 3.370 Mg
3.656 4.551 3.370 Mg
-1.500 6.707 2.455 Mg
1.500 6.707 2.455 Mg
0.000 9.153 0.971 Mg
0.000 0.000 0.000 Al
3.051 3.051 -1.942 Al
3.051 -3.051 1.942 Al
0.000 6.102 0.000 Al
```

Peak list (12 most intense, 10 to 90 degrees two-theta, low angle first)
- 2θ = 19.9°, I = 24.7
- 2θ = 25.1°, I = 21.1
- 2θ = 28.8°, I = 43.2
- 2θ = 32.7°, I = 100.0
- 2θ = 32.8°, I = 64.7
- 2θ = 35.4°, I = 30.4
- 2θ = 38.7°, I = 21.5
- 2θ = 40.4°, I = 22.0
- 2θ = 41.5°, I = 15.0
- 2θ = 49.2°, I = 16.3
- 2θ = 51.6°, I = 15.3
- 2θ = 58.5°, I = 27.9


Record 6
# Sr2Mg6Al3
Simulated powder diffractogram, Cu Kα X-rays. Input: a PBE-relaxed structure.
Kinematic intensities with the Lorentz-polarization factor, no thermal factor.

Cell and atoms:
```
Sr2Mg6Al3
1.0
8.623 0.000 0.000
-4.311 7.467 0.000
0.000 0.000 4.635
Sr Mg Al
2 6 3
Cartesian
0.000 4.978 0.000 Sr
4.311 2.489 0.000 Sr
-0.874 1.514 0.000 Mg
-3.094 5.359 2.318 Mg
1.748 0.000 0.000 Mg
1.217 2.108 2.318 Mg
6.189 0.000 2.318 Mg
3.437 5.953 0.000 Mg
-1.655 2.866 2.318 Al
3.310 0.000 2.318 Al
2.656 4.601 2.318 Al
```

Peak list (12 most intense, 10 to 90 degrees two-theta, low angle first)
- 2θ = 11.9°, I = 11.9
- 2θ = 20.6°, I = 19.6
- 2θ = 28.3°, I = 100.0
- 2θ = 30.7°, I = 18.4
- 2θ = 31.7°, I = 23.7
- 2θ = 36.1°, I = 33.1
- 2θ = 37.3°, I = 41.7
- 2θ = 38.9°, I = 20.0
- 2θ = 46.5°, I = 17.3
- 2θ = 51.0°, I = 12.1
- 2θ = 54.1°, I = 20.1
- 2θ = 60.2°, I = 24.1


Record 7
# Mg3Ta2Al18
Simulated powder diffractogram, Cu Kα X-rays. Input: a PBE-relaxed structure.
Kinematic intensities with the Lorentz-polarization factor, no thermal factor.

Cell and atoms:
```
Mg3Ta2Al18
1.0
0.000 7.415 7.415
7.415 0.000 7.415
7.415 7.415 0.000
Mg Ta Al
6 4 36
Cartesian
0.000 0.000 0.000 Mg
3.707 3.707 0.000 Mg
3.707 0.000 3.707 Mg
1.854 1.854 1.854 Mg
0.000 3.707 3.707 Mg
12.976 12.976 12.976 Mg
7.415 3.707 3.707 Ta
3.707 7.415 3.707 Ta
3.707 3.707 7.415 Ta
7.415 7.415 7.415 Ta
4.782 2.825 2.825 Al
8.298 6.340 2.825 Al
8.298 2.825 6.340 Al
10.047 6.532 6.532 Al
12.005 8.490 6.532 Al
12.005 6.532 8.490 Al
5.561 5.561 3.439 Al
5.561 3.439 5.561 Al
7.683 5.561 5.561 Al
2.825 4.782 2.825 Al
6.340 8.298 2.825 Al
2.825 2.825 4.782 Al
8.298 8.298 4.782 Al
6.340 2.825 8.298 Al
8.298 4.782 8.298 Al
9.269 9.269 7.146 Al
9.269 7.146 9.269 Al
11.391 9.269 9.269 Al
3.439 5.561 5.561 Al
5.561 7.683 5.561 Al
5.561 5.561 7.683 Al
6.532 10.047 6.532 Al
8.490 12.005 6.532 Al
6.532 6.532 10.047 Al
12.005 12.005 10.047 Al
8.490 6.532 12.005 Al
12.005 10.047 12.005 Al
7.146 9.269 9.269 Al
9.269 11.391 9.269 Al
9.269 9.269 11.391 Al
2.825 8.298 6.340 Al
2.825 6.340 8.298 Al
4.782 8.298 8.298 Al
6.532 12.005 8.490 Al
6.532 8.490 12.005 Al
10.047 12.005 12.005 Al
```

Peak list (12 most intense, 10 to 90 degrees two-theta, low angle first)
- 2θ = 10.3°, I = 100.0
- 2θ = 19.9°, I = 61.2
- 2θ = 20.7°, I = 58.7
- 2θ = 24.0°, I = 33.8
- 2θ = 26.2°, I = 28.2
- 2θ = 34.2°, I = 43.0
- 2θ = 39.9°, I = 46.3
- 2θ = 40.3°, I = 99.2
- 2θ = 42.2°, I = 29.7
- 2θ = 43.6°, I = 43.0
- 2θ = 65.4°, I = 29.6
- 2θ = 72.1°, I = 23.2


Record 8
# Tb2Mg3Al2
Simulated powder diffractogram, Cu Kα X-rays. Input: a PBE-relaxed structure.
Kinematic intensities with the Lorentz-polarization factor, no thermal factor.

Cell and atoms:
```
Tb2Mg3Al2
1.0
2.250 -10.755 0.000
2.250 10.755 0.000
0.000 0.000 3.465
Tb Mg Al
2 3 2
Cartesian
2.250 7.275 0.000 Tb
2.250 -7.275 0.000 Tb
0.000 0.000 0.000 Mg
2.250 1.595 1.732 Mg
2.250 -1.595 1.732 Mg
2.250 4.659 1.732 Al
2.250 -4.659 1.732 Al
```

Peak list (12 most intense, 10 to 90 degrees two-theta, low angle first)
- 2θ = 16.5°, I = 31.5
- 2θ = 20.2°, I = 36.1
- 2θ = 23.3°, I = 100.0
- 2θ = 24.8°, I = 45.0
- 2θ = 25.7°, I = 30.9
- 2θ = 32.9°, I = 75.2
- 2θ = 35.0°, I = 99.0
- 2θ = 35.4°, I = 58.5
- 2θ = 36.1°, I = 75.8
- 2θ = 40.1°, I = 35.1
- 2θ = 55.0°, I = 44.7
- 2θ = 65.9°, I = 28.2


Record 9
# TbMg16Al12
Simulated powder diffractogram, Cu Kα X-rays. Input: a PBE-relaxed structure.
Kinematic intensities with the Lorentz-polarization factor, no thermal factor.

Cell and atoms:
```
TbMg16Al12
1.0
-5.277 5.277 5.277
5.277 -5.277 5.277
5.277 5.277 -5.277
Tb Mg Al
1 16 12
Cartesian
0.000 0.000 0.000 Tb
1.890 1.890 -1.890 Mg
4.869 1.500 -1.500 Mg
1.890 -1.890 1.890 Mg
4.869 -1.500 1.500 Mg
5.684 1.500 1.500 Mg
1.500 4.869 -1.500 Mg
1.500 -1.500 4.869 Mg
-1.890 1.890 1.890 Mg
3.776 3.776 0.407 Mg
3.776 0.407 3.776 Mg
-1.500 4.869 1.500 Mg
-1.500 1.500 4.869 Mg
3.387 3.387 3.387 Mg
1.500 5.684 1.500 Mg
1.500 1.500 5.684 Mg
0.407 3.776 3.776 Mg
7.628 0.961 -0.961 Al
7.628 -0.961 0.961 Al
2.926 0.961 0.961 Al
4.316 4.316 -2.351 Al
4.316 -2.351 4.316 Al
0.961 2.926 0.961 Al
0.961 0.961 2.926 Al
0.961 7.628 -0.961 Al
0.961 -0.961 7.628 Al
-0.961 7.628 0.961 Al
-0.961 0.961 7.628 Al
-2.351 4.316 4.316 Al
```

Peak list (12 most intense, 10 to 90 degrees two-theta, low angle first)
- 2θ = 11.9°, I = 43.0
- 2θ = 16.8°, I = 8.4
- 2θ = 20.6°, I = 20.1
- 2θ = 26.7°, I = 12.3
- 2θ = 31.7°, I = 22.4
- 2θ = 36.1°, I = 100.0
- 2θ = 40.1°, I = 20.3
- 2θ = 41.9°, I = 16.5
- 2θ = 47.2°, I = 10.1
- 2θ = 53.5°, I = 8.2
- 2θ = 62.2°, I = 14.2
- 2θ = 64.9°, I = 28.4


Record 10
# TbMg16Al12
Simulated powder diffractogram, Cu Kα X-rays. Input: a PBE-relaxed structure.
Kinematic intensities with the Lorentz-polarization factor, no thermal factor.

Cell and atoms:
```
TbMg16Al12
1.0
7.535 4.350 2.993
-7.535 4.350 2.993
0.000 -8.701 2.993
Tb Mg Al
1 16 12
Cartesian
0.000 0.000 0.000 Tb
0.000 -5.208 2.319 Mg
-4.510 2.604 2.319 Mg
-5.039 -2.909 4.855 Mg
-2.352 -3.916 6.099 Mg
-4.568 -0.079 6.099 Mg
0.000 0.000 3.365 Mg
0.000 -2.969 4.398 Mg
-2.571 1.484 4.398 Mg
4.510 2.604 2.319 Mg
2.352 -3.916 6.099 Mg
-2.215 3.995 6.099 Mg
2.571 1.484 4.398 Mg
5.039 -2.909 4.855 Mg
0.000 5.818 4.855 Mg
4.568 -0.079 6.099 Mg
2.215 3.995 6.099 Mg
-1.349 -2.389 1.703 Al
-2.744 0.026 1.703 Al
1.349 -2.389 1.703 Al
-1.395 2.363 1.703 Al
-2.727 -1.574 3.967 Al
2.744 0.026 1.703 Al
1.395 2.363 1.703 Al
2.727 -1.574 3.967 Al
0.000 3.149 3.967 Al
-1.383 -0.799 6.145 Al
1.383 -0.799 6.145 Al
0.000 1.597 6.145 Al
```

Peak list (12 most intense, 10 to 90 degrees two-theta, low angle first)
- 2θ = 11.7°, I = 69.1
- 2θ = 12.0°, I = 44.9
- 2θ = 16.8°, I = 27.1
- 2θ = 20.5°, I = 32.1
- 2θ = 26.6°, I = 19.4
- 2θ = 31.4°, I = 28.9
- 2θ = 35.8°, I = 84.8
- 2θ = 36.1°, I = 96.8
- 2θ = 36.4°, I = 100.0
- 2θ = 39.7°, I = 48.6
- 2θ = 41.8°, I = 24.8
- 2θ = 64.7°, I = 26.9


Record 11
# Tb4Mg3Al
Simulated powder diffractogram, Cu Kα X-rays. Input: a PBE-relaxed structure.
Kinematic intensities with the Lorentz-polarization factor, no thermal factor.

Cell and atoms:
```
Tb4Mg3Al
1.0
2.649 1.530 8.668
-2.649 1.530 8.668
0.000 -3.059 8.668
Tb Mg Al
4 3 1
Cartesian
0.000 0.000 3.161 Tb
0.000 0.000 9.668 Tb
0.000 0.000 16.337 Tb
0.000 0.000 22.844 Tb
0.000 0.000 6.424 Mg
0.000 0.000 13.003 Mg
0.000 0.000 19.581 Mg
0.000 0.000 0.000 Al
```

Peak list (12 most intense, 10 to 90 degrees two-theta, low angle first)
- 2θ = 23.7°, I = 62.7
- 2θ = 33.8°, I = 100.0
- 2θ = 41.7°, I = 19.0
- 2θ = 48.6°, I = 17.8
- 2θ = 54.8°, I = 25.6
- 2θ = 60.5°, I = 26.9
- 2θ = 60.5°, I = 9.4
- 2θ = 71.1°, I = 11.0
- 2θ = 76.2°, I = 6.8
- 2θ = 76.2°, I = 5.0
- 2θ = 81.1°, I = 15.2
- 2θ = 86.0°, I = 5.2